Structure and calculated PXRD pattern of TeIr8 (the GGA-PBE geometry in OQMD; Cu Kα X-rays).
Intensities are scaled so that the largest is 100.

The 10 most intense peaks (5 to 70 degrees two-theta), low angle first:
2θ/deg, d/Å, I_rel
7.2, 12.263, 72
38.9, 2.314, 87
39.9, 2.261, 43
40.7, 2.215, 100
41.9, 2.156, 80
45.8, 1.979, 33
46.2, 1.964, 21
46.9, 1.936, 35
47.9, 1.898, 28
67.7, 1.384, 21

abc: 4.705 4.705 24.525
angles: 90.07 90.07 48.60
Positions (direct):
Te  0.057  0.057  0.192
Te  0.943  0.943  0.808
Ir  0.048  0.048  0.553
Ir  0.149  0.149  0.658
Ir  0.152  0.152  0.307
Ir  0.251  0.251  0.412
Ir  0.253  0.253  0.764
Ir  0.349  0.349  0.517
Ir  0.445  0.445  0.272
Ir  0.449  0.449  0.623
Ir  0.551  0.551  0.377
Ir  0.555  0.555  0.728
Ir  0.651  0.651  0.483
Ir  0.747  0.747  0.236
Ir  0.749  0.749  0.588
Ir  0.848  0.848  0.693
Ir  0.851  0.851  0.342
Ir  0.952  0.952  0.447


Structure and calculated PXRD pattern of LaInNiS3 (the GGA-PBE geometry in OQMD; Cu Kα X-rays).
Intensities are scaled so that the largest is 100.

The 10 most intense peaks (5 to 70 degrees two-theta), low angle first:
2θ/deg, d/Å, I_rel
21.3, 4.175, 100
27.3, 3.270, 54
29.6, 3.014, 77
32.5, 2.759, 97
33.0, 2.712, 55
35.1, 2.560, 41
35.6, 2.525, 95
43.3, 2.087, 64
45.4, 1.998, 40
66.8, 1.400, 42

abc: 6.807 6.807 10.847
angles: 90.00 90.00 147.82
Positions (direct):
La  0.000  0.000  0.000
La  0.000  0.000  0.500
In  0.247  0.753  0.750
In  0.753  0.247  0.250
Ni  0.475  0.525  0.250
Ni  0.525  0.475  0.750
S  0.078  0.922  0.250
S  0.356  0.644  0.097
S  0.356  0.644  0.403
S  0.644  0.356  0.597
S  0.644  0.356  0.903
S  0.922  0.078  0.750


Structure and calculated PXRD pattern of Lu2Zr4As3N3 (the GGA-PBE geometry in OQMD; Cu Kα X-rays).
Intensities are scaled so that the largest is 100.

The 10 most intense peaks (5 to 70 degrees two-theta), low angle first:
2θ/deg, d/Å, I_rel
17.2, 5.165, 5
29.7, 3.009, 26
30.5, 2.926, 7
36.8, 2.444, 100
41.6, 2.173, 5
43.2, 2.095, 11
52.7, 1.737, 27
53.3, 1.719, 11
60.0, 1.542, 5
66.0, 1.416, 18

abc: 6.016 6.016 13.042
angles: 103.33 103.33 60.08
Positions (direct):
Lu  0.034  0.868  0.601
Lu  0.132  0.966  0.899
Lu  0.868  0.034  0.101
Lu  0.966  0.132  0.399
Zr  0.198  0.366  0.097
Zr  0.300  0.468  0.403
Zr  0.366  0.198  0.597
Zr  0.468  0.300  0.903
Zr  0.532  0.700  0.097
Zr  0.634  0.802  0.403
Zr  0.700  0.532  0.597
Zr  0.802  0.634  0.903
As  0.084  0.257  0.750
As  0.257  0.084  0.250
As  0.424  0.576  0.750
As  0.576  0.424  0.250
As  0.743  0.916  0.750
As  0.916  0.743  0.250
N  0.000  0.500  0.500
N  0.166  0.668  0.000
N  0.332  0.834  0.500
N  0.500  0.000  0.000
N  0.668  0.166  0.500
N  0.834  0.332  0.000


Structure and calculated PXRD pattern of GaAgTeSe (the GGA-PBE geometry in OQMD; Cu Kα X-rays).
Intensities are scaled so that the largest is 100.

The 10 most intense peaks (5 to 70 degrees two-theta), low angle first:
2θ/deg, d/Å, I_rel
25.0, 3.557, 48
25.3, 3.522, 100
25.6, 3.485, 52
40.9, 2.207, 52
42.1, 2.148, 50
42.7, 2.116, 47
48.4, 1.881, 18
48.5, 1.876, 14
48.8, 1.865, 16
59.2, 1.561, 16

abc: 6.244 6.244 7.244
angles: 114.74 114.74 90.03
Positions (direct):
Ga  0.114  0.886  0.500
Ga  0.886  0.114  0.000
Ag  0.347  0.613  0.000
Ag  0.613  0.347  0.500
Te  0.492  0.763  0.750
Te  0.763  0.492  0.250
Se  0.217  0.993  0.250
Se  0.993  0.217  0.750


Structure and calculated PXRD pattern of PmSbN2O (the GGA-PBE geometry in OQMD; Cu Kα X-rays).
Intensities are scaled so that the largest is 100.

The 10 most intense peaks (5 to 70 degrees two-theta), low angle first:
2θ/deg, d/Å, I_rel
30.8, 2.899, 18
31.5, 2.844, 100
44.5, 2.035, 9
44.7, 2.029, 8
45.6, 1.989, 10
55.2, 1.663, 11
55.9, 1.644, 18
56.1, 1.640, 7
56.4, 1.631, 9
65.7, 1.421, 9

abc: 8.118 7.956 11.394
angles: 90.00 134.41 90.00
Positions (direct):
Pm  0.048  0.249  0.020
Pm  0.048  0.251  0.520
Pm  0.450  0.746  0.970
Pm  0.450  0.754  0.470
Pm  0.550  0.246  0.530
Pm  0.550  0.254  0.030
Pm  0.952  0.749  0.480
Pm  0.952  0.751  0.980
Sb  0.018  0.004  0.756
Sb  0.018  0.496  0.256
Sb  0.497  0.502  0.257
Sb  0.497  0.998  0.757
Sb  0.503  0.002  0.243
Sb  0.503  0.498  0.743
Sb  0.982  0.504  0.744
Sb  0.982  0.996  0.244
N  0.036  0.746  0.317
N  0.036  0.754  0.817
N  0.197  0.552  0.195
N  0.197  0.948  0.695
N  0.289  0.060  0.999
N  0.289  0.440  0.499
N  0.465  0.249  0.282
N  0.465  0.251  0.782
N  0.535  0.749  0.218
N  0.535  0.751  0.718
N  0.711  0.560  0.501
N  0.711  0.940  0.001
N  0.803  0.052  0.305
N  0.803  0.448  0.805
N  0.964  0.246  0.183
N  0.964  0.254  0.683
O  0.213  0.551  0.712
O  0.213  0.949  0.212
O  0.303  0.042  0.499
O  0.303  0.458  0.999
O  0.697  0.542  0.001
O  0.697  0.958  0.501
O  0.787  0.051  0.788
O  0.787  0.449  0.288


Structure and calculated PXRD pattern of NdDy2Ni2B2N3 (the GGA-PBE geometry in OQMD; Cu Kα X-rays).
Intensities are scaled so that the largest is 100.

The 10 most intense peaks (5 to 70 degrees two-theta), low angle first:
2θ/deg, d/Å, I_rel
28.6, 3.123, 100
33.7, 2.661, 78
35.3, 2.541, 53
36.1, 2.489, 40
37.2, 2.417, 37
40.3, 2.235, 42
52.0, 1.760, 38
60.4, 1.533, 27
63.4, 1.468, 26
64.4, 1.447, 35

abc: 10.465 10.465 10.465
angles: 160.64 160.64 27.51
Positions (direct):
Nd  0.000  0.000  0.000
Dy  0.375  0.375  0.000
Dy  0.625  0.625  0.000
Ni  0.250  0.750  0.500
Ni  0.750  0.250  0.500
B  0.192  0.192  0.000
B  0.808  0.808  0.000
N  0.120  0.120  0.000
N  0.500  0.500  0.000
N  0.880  0.880  0.000


Structure and calculated PXRD pattern of Cu9Ag (the GGA-PBE geometry in OQMD; Cu Kα X-rays).
Intensities are scaled so that the largest is 100.

The 10 most intense peaks (5 to 70 degrees two-theta), low angle first:
2θ/deg, d/Å, I_rel
25.4, 3.504, 2
29.4, 3.035, 1
30.1, 2.968, 2
32.1, 2.788, 2
40.2, 2.241, 1
42.6, 2.124, 100
42.7, 2.117, 98
49.3, 1.848, 31
49.5, 1.843, 31
50.2, 1.819, 30

abc: 6.886 6.886 5.233
angles: 101.10 101.10 30.63
Positions (direct):
Cu  0.000  0.000  0.000
Cu  0.200  0.200  0.100
Cu  0.204  0.204  0.603
Cu  0.395  0.395  0.189
Cu  0.396  0.396  0.707
Cu  0.604  0.604  0.293
Cu  0.605  0.605  0.811
Cu  0.796  0.796  0.397
Cu  0.800  0.800  0.900
Ag  0.000  0.000  0.500


Structure and calculated PXRD pattern of ZnO3 (the GGA-PBE geometry in OQMD; Cu Kα X-rays).
Intensities are scaled so that the largest is 100.

The 10 most intense peaks (5 to 70 degrees two-theta), low angle first:
2θ/deg, d/Å, I_rel
19.2, 4.626, 31
21.7, 4.088, 67
25.1, 3.551, 49
26.1, 3.417, 28
32.6, 2.749, 20
37.4, 2.406, 100
39.6, 2.278, 49
50.4, 1.810, 29
55.4, 1.659, 24
60.4, 1.533, 19

abc: 5.336 5.336 3.988
angles: 104.88 104.88 120.23
Positions (direct):
Zn  0.159  0.841  0.000
Zn  0.841  0.159  0.000
O  0.077  0.077  0.404
O  0.263  0.618  0.300
O  0.382  0.737  0.700
O  0.618  0.263  0.300
O  0.737  0.382  0.700
O  0.923  0.923  0.596


Structure and calculated PXRD pattern of NbPbClO2 (the GGA-PBE geometry in OQMD; Cu Kα X-rays).
Intensities are scaled so that the largest is 100.

The 10 most intense peaks (5 to 70 degrees two-theta), low angle first:
2θ/deg, d/Å, I_rel
22.3, 3.988, 29
23.3, 3.825, 100
28.2, 3.170, 83
30.4, 2.936, 44
31.8, 2.816, 39
32.4, 2.762, 29
35.6, 2.524, 42
43.0, 2.106, 51
44.6, 2.033, 47
47.5, 1.914, 34

abc: 6.366 6.366 5.633
angles: 90.00 90.00 125.07
Positions (direct):
Nb  0.052  0.948  0.750
Nb  0.948  0.052  0.250
Pb  0.338  0.662  0.750
Pb  0.662  0.338  0.250
Cl  0.258  0.742  0.250
Cl  0.742  0.258  0.750
O  0.219  0.219  0.000
O  0.219  0.219  0.500
O  0.781  0.781  0.000
O  0.781  0.781  0.500